Diffraction record for KNb5Pb2O15. The powder XRD pattern is calculated, not measured: it uses a PBE-relaxed structure and CuKα.

```
data_KNb5Pb2O15
_chemical_formula_sum 'K2 Nb10 Pb4 O30'
_cell_length_a 3.9825
_cell_length_b 12.9389
_cell_length_c 12.8889
_cell_angle_alpha 90.00
_cell_angle_beta 90.00
_cell_angle_gamma 90.00
_symmetry_space_group_name_H-M 'P 1'
_symmetry_Int_Tables_number 1
_symmetry_space_group_name_Hall 'P 1'
loop_
_atom_site_label
_atom_site_type_symbol
_atom_site_fract_x
_atom_site_fract_y
_atom_site_fract_z
K1 K 0.0000 0.0764 0.0000
K2 K 0.0000 0.9236 0.5000
Nb1 Nb 0.5000 0.0394 0.2410
Nb2 Nb 0.5000 0.1750 0.5283
Nb3 Nb 0.5000 0.2411 0.8284
Nb4 Nb 0.5000 0.3353 0.1088
Nb5 Nb 0.5000 0.4649 0.3945
Nb6 Nb 0.5000 0.5351 0.8945
Nb7 Nb 0.5000 0.6647 0.6088
Nb8 Nb 0.5000 0.7589 0.3284
Nb9 Nb 0.5000 0.8250 0.0283
Nb10 Nb 0.5000 0.9606 0.7410
Pb1 Pb 0.0000 0.2537 0.3162
Pb2 Pb 0.0000 0.3693 0.6468
Pb3 Pb 0.0000 0.6307 0.1468
Pb4 Pb 0.0000 0.7463 0.8162
O1 O 0.0000 0.0459 0.2557
O2 O 0.0000 0.1817 0.5430
O3 O 0.0000 0.2584 0.8152
O4 O 0.0000 0.3242 0.1284
O5 O 0.0000 0.4494 0.4084
O6 O 0.0000 0.5506 0.9084
O7 O 0.0000 0.6758 0.6284
O8 O 0.0000 0.7416 0.3152
O9 O 0.0000 0.8183 0.0430
O10 O 0.0000 0.9541 0.7557
O11 O 0.5000 0.0373 0.6145
O12 O 0.5000 0.0964 0.8306
O13 O 0.5000 0.1077 0.3985
O14 O 0.5000 0.1800 0.1888
O15 O 0.5000 0.2534 0.9821
O16 O 0.5000 0.2640 0.6716
O17 O 0.5000 0.3142 0.4691
O18 O 0.5000 0.3814 0.2643
O19 O 0.5000 0.4094 0.8239
O20 O 0.5000 0.4664 0.0442
O21 O 0.5000 0.5336 0.5442
O22 O 0.5000 0.5906 0.3239
O23 O 0.5000 0.6186 0.7643
O24 O 0.5000 0.6858 0.9691
O25 O 0.5000 0.7360 0.1716
O26 O 0.5000 0.7466 0.4821
O27 O 0.5000 0.8200 0.6888
O28 O 0.5000 0.8923 0.8985
O29 O 0.5000 0.9036 0.3306
O30 O 0.5000 0.9627 0.1145
```

Most intense lines, 2θ from 10° to 80°, in order of rising 2θ:
d = 6.461 Å, 13.71 deg, intensity 30.8, hkl 0 2 0; d = 3.583 Å, 24.85 deg, intensity 41.1, hkl 0 3 2; d = 3.279 Å, 27.20 deg, intensity 47.8, hkl 1 2 1; d = 3.129 Å, 28.52 deg, intensity 28.2, hkl 0 1 4; d = 3.001 Å, 29.77 deg, intensity 20.4, hkl 1 2 2; d = 2.889 Å, 30.96 deg, intensity 44.2, hkl 0 4 2; d = 2.851 Å, 31.38 deg, intensity 100.0, hkl 1 1 3; d = 1.991 Å, 45.56 deg, intensity 23.9, hkl 2 0 0; d = 1.661 Å, 55.31 deg, intensity 24.7, hkl 1 5 5; d = 1.639 Å, 56.10 deg, intensity 17.1, hkl 2 4 2